No. 1
This entry pairs a crystal structure of Sr2TaBeO6 with its computed X-ray powder pattern. Radiation: CuKα. Structure: a structure optimized by DFT (GGA-PBE).

Structural model:
Cell: 5.588 5.588 4.878 Å, 90.00 90.00 120.00°
Sites, in units of the cell vectors:
1 Sr 0.333 0.667 0.333
2 Sr 0.667 0.333 0.667
3 Ta 0.000 0.000 0.000
4 Be 0.000 0.000 0.500
5 O 0.156 0.311 0.733
6 O 0.156 0.844 0.733
7 O 0.311 0.156 0.267
8 O 0.689 0.844 0.733
9 O 0.844 0.156 0.267
10 O 0.844 0.689 0.267

Principal peaks in the range 10° ≤ 2θ ≤ 90°, low angle first:
2θ 18.33, I = 31; 2θ 25.93, I = 100; 2θ 32.04, I = 56; 2θ 41.46, I = 30; 2θ 41.67, I = 47; 2θ 53.33, I = 23; 2θ 53.51, I = 28; 2θ 63.58, I = 20

=====

No. 2
This entry pairs a crystal structure of TbPr2Dy2Y with its computed X-ray powder pattern. Radiation: CuKα. Structure: a structure optimized by DFT (GGA-PBE).

Structural model:
Cell: 7.082 5.693 9.867 Å, 90.00 90.00 90.00°
Sites, in units of the cell vectors:
1 Tb 0.250 0.000 0.160
2 Tb 0.750 0.000 0.840
3 Pr 0.000 0.000 0.500
4 Pr 0.250 0.500 0.676
5 Pr 0.500 0.000 0.500
6 Pr 0.750 0.500 0.324
7 Dy 0.250 0.000 0.833
8 Dy 0.250 0.500 0.336
9 Dy 0.750 0.000 0.167
10 Dy 0.750 0.500 0.664
11 Y 0.000 0.500 0.000
12 Y 0.500 0.500 0.000

Principal peaks in the range 10° ≤ 2θ ≤ 90°, low angle first:
2θ 31.09, I = 84; 2θ 31.42, I = 100; 2θ 40.66, I = 20; 2θ 44.79, I = 30; 2θ 55.73, I = 32; 2θ 55.93, I = 19; 2θ 61.69, I = 29; 2θ 79.58, I = 14

=====

No. 3
This entry pairs a crystal structure of Na3Al4O8 with its computed X-ray powder pattern. Radiation: CuKα. Structure: a structure optimized by DFT (GGA-PBE).

Structural model:
Cell: 9.080 9.080 9.080 Å, 109.47 109.47 109.47°
Sites, in units of the cell vectors:
1 Na 0.250 0.500 0.750
2 Na 0.250 0.750 0.500
3 Na 0.500 0.250 0.750
4 Na 0.500 0.750 0.250
5 Na 0.750 0.250 0.500
6 Na 0.750 0.500 0.250
7 Al 0.000 0.000 0.313
8 Al 0.000 0.000 0.687
9 Al 0.000 0.313 0.000
10 Al 0.000 0.687 0.000
11 Al 0.313 0.000 0.000
12 Al 0.313 0.313 0.313
13 Al 0.687 0.000 0.000
14 Al 0.687 0.687 0.687
15 O 0.000 0.000 0.500
16 O 0.000 0.200 0.800
17 O 0.000 0.500 0.000
18 O 0.000 0.800 0.200
19 O 0.200 0.000 0.800
20 O 0.200 0.200 0.400
21 O 0.200 0.400 0.200
22 O 0.200 0.800 0.000
23 O 0.400 0.200 0.200
24 O 0.500 0.000 0.000
25 O 0.500 0.500 0.500
26 O 0.600 0.800 0.800
27 O 0.800 0.000 0.200
28 O 0.800 0.200 0.000
29 O 0.800 0.600 0.800
30 O 0.800 0.800 0.600

Principal peaks in the range 10° ≤ 2θ ≤ 90°, low angle first:
2θ 11.94, I = 39; 2θ 16.91, I = 38; 2θ 26.89, I = 100; 2θ 31.94, I = 28; 2θ 49.16, I = 23; 2θ 50.78, I = 17; 2θ 68.11, I = 10; 2θ 70.76, I = 13

=====

No. 4
This entry pairs a crystal structure of PrH6C3O9 with its computed X-ray powder pattern. Radiation: CuKα. Structure: a structure optimized by DFT (GGA-PBE).

Structural model:
Cell: 6.176 7.798 8.933 Å, 98.35 96.94 98.90°
Sites, in units of the cell vectors:
1 Pr 0.016 0.308 0.294
2 Pr 0.984 0.692 0.706
3 H 0.029 0.376 0.878
4 H 0.218 0.681 0.207
5 H 0.351 0.754 0.996
6 H 0.373 0.953 0.273
7 H 0.421 0.099 0.803
8 H 0.438 0.654 0.850
9 H 0.562 0.346 0.150
10 H 0.579 0.901 0.197
11 H 0.627 0.047 0.727
12 H 0.649 0.246 0.004
13 H 0.782 0.319 0.793
14 H 0.971 0.624 0.122
15 C 0.083 0.065 0.967
16 C 0.114 0.980 0.480
17 C 0.444 0.528 0.570
18 C 0.556 0.472 0.430
19 C 0.886 0.020 0.520
20 C 0.917 0.935 0.033
21 O 0.078 0.597 0.202
22 O 0.134 0.222 0.038
23 O 0.154 0.004 0.847
24 O 0.186 0.855 0.533
25 O 0.210 0.076 0.395
26 O 0.233 0.499 0.552
27 O 0.305 0.674 0.898
28 O 0.418 0.865 0.196
29 O 0.429 0.402 0.307
30 O 0.571 0.598 0.693
31 O 0.582 0.135 0.804
32 O 0.695 0.326 0.102
33 O 0.767 0.501 0.448
34 O 0.790 0.924 0.605
35 O 0.814 0.145 0.467
36 O 0.846 0.996 0.153
37 O 0.866 0.778 0.962
38 O 0.922 0.403 0.798

Principal peaks in the range 10° ≤ 2θ ≤ 90°, low angle first:
2θ 14.11, I = 100; 2θ 14.68, I = 91; 2θ 16.69, I = 29; 2θ 19.79, I = 29; 2θ 20.00, I = 24; 2θ 23.94, I = 20; 2θ 25.15, I = 22; 2θ 32.40, I = 22

=====

No. 5
This entry pairs a crystal structure of RbSm2Cl7 with its computed X-ray powder pattern. Radiation: CuKα. Structure: a structure optimized by DFT (GGA-PBE).

Structural model:
Cell: 13.754 7.135 12.978 Å, 90.00 90.00 90.00°
Sites, in units of the cell vectors:
1 Rb 0.032 0.250 0.199
2 Rb 0.468 0.750 0.699
3 Rb 0.532 0.250 0.301
4 Rb 0.968 0.750 0.801
5 Sm 0.237 0.250 0.539
6 Sm 0.245 0.250 0.843
7 Sm 0.255 0.750 0.343
8 Sm 0.263 0.750 0.039
9 Sm 0.737 0.250 0.961
10 Sm 0.745 0.250 0.657
11 Sm 0.755 0.750 0.157
12 Sm 0.763 0.750 0.461
13 Cl 0.114 0.750 0.188
14 Cl 0.125 0.011 0.419
15 Cl 0.125 0.489 0.419
16 Cl 0.132 0.009 0.961
17 Cl 0.132 0.491 0.961
18 Cl 0.172 0.010 0.692
19 Cl 0.172 0.490 0.692
20 Cl 0.328 0.510 0.192
21 Cl 0.328 0.990 0.192
22 Cl 0.368 0.509 0.461
23 Cl 0.368 0.991 0.461
24 Cl 0.375 0.511 0.919
25 Cl 0.375 0.989 0.919
26 Cl 0.386 0.250 0.688
27 Cl 0.614 0.750 0.312
28 Cl 0.625 0.011 0.081
29 Cl 0.625 0.489 0.081
30 Cl 0.632 0.009 0.539
31 Cl 0.632 0.491 0.539
32 Cl 0.672 0.010 0.808
33 Cl 0.672 0.490 0.808
34 Cl 0.828 0.510 0.308
35 Cl 0.828 0.990 0.308
36 Cl 0.868 0.509 0.039
37 Cl 0.868 0.991 0.039
38 Cl 0.875 0.511 0.581
39 Cl 0.875 0.989 0.581
40 Cl 0.886 0.250 0.812

Principal peaks in the range 10° ≤ 2θ ≤ 90°, low angle first:
2θ 12.87, I = 76; 2θ 19.19, I = 100; 2θ 24.93, I = 68; 2θ 31.06, I = 34; 2θ 33.85, I = 32; 2θ 36.29, I = 43; 2θ 38.06, I = 40; 2θ 40.88, I = 28

=====

No. 6
This entry pairs a crystal structure of Na2NiH14N6 with its computed X-ray powder pattern. Radiation: CuKα. Structure: a structure optimized by DFT (GGA-PBE).

Structural model:
Cell: 8.427 8.427 8.427 Å, 114.63 114.63 99.58°
Sites, in units of the cell vectors:
1 Na 0.117 0.788 0.905
2 Na 0.212 0.117 0.329
3 Na 0.788 0.883 0.671
4 Na 0.883 0.212 0.095
5 Ni 0.192 0.192 0.000
6 Ni 0.808 0.808 0.000
7 H 0.009 0.380 0.931
8 H 0.055 0.798 0.290
9 H 0.078 0.009 0.628
10 H 0.156 0.453 0.608
11 H 0.202 0.491 0.257
12 H 0.217 0.451 0.820
13 H 0.235 0.945 0.743
14 H 0.368 0.603 0.820
15 H 0.380 0.449 0.372
16 H 0.397 0.217 0.766
17 H 0.449 0.078 0.069
18 H 0.451 0.632 0.234
19 H 0.453 0.844 0.297
20 H 0.491 0.235 0.290
21 H 0.509 0.765 0.710
22 H 0.547 0.156 0.703
23 H 0.549 0.368 0.766
24 H 0.551 0.922 0.931
25 H 0.603 0.783 0.234
26 H 0.620 0.551 0.628
27 H 0.632 0.397 0.180
28 H 0.765 0.055 0.257
29 H 0.783 0.549 0.180
30 H 0.798 0.509 0.743
31 H 0.844 0.547 0.392
32 H 0.922 0.991 0.372
33 H 0.945 0.202 0.710
34 H 0.991 0.620 0.069
35 N 0.024 0.764 0.145
36 N 0.121 0.976 0.740
37 N 0.226 0.540 0.767
38 N 0.236 0.381 0.260
39 N 0.381 0.121 0.145
40 N 0.460 0.226 0.686
41 N 0.540 0.774 0.314
42 N 0.619 0.879 0.855
43 N 0.764 0.619 0.740
44 N 0.774 0.460 0.233
45 N 0.879 0.024 0.260
46 N 0.976 0.236 0.855

Principal peaks in the range 10° ≤ 2θ ≤ 90°, low angle first:
2θ 12.68, I = 71; 2θ 13.76, I = 100; 2θ 21.39, I = 29; 2θ 25.52, I = 24; 2θ 26.46, I = 41; 2θ 33.08, I = 18; 2θ 35.28, I = 21; 2θ 38.69, I = 20